The following is a theoretical PXRD pattern of Co2TeHO6. It was derived from a crystal structure in Alexandria, relaxed with GGA+U, using Cu Kα (λ = 1.5418 Å).
Kinematic intensities with the Lorentz-polarization factor, no thermal factor.

Main lines, most intense first (2θ from 10° to 90°):
(0 0 1), 2θ = 18.01°, I 100; (2 1 0), 2θ = 35.97°, I 47; (0 1 0), 2θ = 21.16°, I 41; (1 1 1), 2θ = 23.38°, I 40; (1 0 -1), 2θ = 26.95°, I 39; (1 -1 0), 2θ = 35.83°, I 34; (1 2 1), 2θ = 35.61°, I 31; (0 1 -1), 2θ = 32.08°, I 24; (1 0 1), 2θ = 27.36°, I 23; (1 2 -2), 2θ = 63.04°, I 22

Structural model:
```
Co2TeHO6
1.0
5.0675 0.0000 0.0000
2.5129 4.4292 0.0000
0.8487 1.6437 4.9246
Co Te H O
2 1 1 6
Direct
0.0000 0.0000 0.0000 Co
0.3308 0.4787 0.6216 Co
0.6628 0.6830 0.9950 Te
0.1700 0.2360 0.2426 H
0.3238 0.0617 0.7751 O
0.3350 0.6197 0.2199 O
0.6944 0.4127 0.7906 O
0.7071 0.8914 0.2126 O
0.9769 0.2396 0.2246 O
0.9781 0.7772 0.7829 O
```